The following is a calculated PXRD pattern of Sm2CoRhO6. It was derived from a cell relaxed with PBE+U, using Cu Kα X-rays.

The 10 most intense peaks (2θ = 10–90°), in order of falling intensity:
d (Å)	I_rel	index
2.760	100	1 1 1
1.568	37	2 0 2
2.695	25	2 0 -2
1.927	21	0 0 4
3.520	20	1 1 0
2.913	19	0 2 0
1.978	17	2 2 -2
1.778	16	1 3 -2
2.725	13	0 2 1
1.916	12	2 2 -3

Structural model:
```
Sm2CoRhO6
1.0
5.3901 0.0000 0.0000
0.0000 5.8254 0.0000
-5.3852 0.0000 7.7066
Sm Co Rh O
4 2 2 12
direct
0.2269 0.0743 0.2498 Sm
0.2269 0.4257 0.7498 Sm
0.7731 0.5743 0.2502 Sm
0.7731 0.9257 0.7502 Sm
0.5000 0.0000 0.0000 Co
0.5000 0.5000 0.5000 Co
0.0000 0.0000 0.5000 Rh
0.0000 0.5000 0.0000 Rh
0.1271 0.2010 0.9435 O
0.1271 0.2990 0.4435 O
0.2573 0.6915 0.9466 O
0.2573 0.8085 0.4466 O
0.3606 0.0369 0.7503 O
0.3606 0.4631 0.2503 O
0.6394 0.5369 0.7497 O
0.6394 0.9631 0.2497 O
0.7427 0.1915 0.5534 O
0.7427 0.3085 0.0534 O
0.8729 0.7010 0.5565 O
0.8729 0.7990 0.0565 O
```